1.
Ba2CaAl2Fe8O14: theoretical X-ray diffraction stick pattern (Cu Kα (weighted mean of Kα1 and Kα2)), based on a GGA+U-relaxed structure.
Lines closer than 0.1° are merged.

Main lines, in order of rising 2θ (10° ≤ 2θ ≤ 90°):
h k l	two_theta	intensity
1 0 -1	18.3	52
2 1 0	28.5	37
0 1 -3	31.5	41
1 2 2	32.8	42
1 -1 2	33.3	37
0 2 -1	33.4	47
2 1 2	33.6	66
2 0 1	33.8	100
2 2 -1	34.3	60
0 0 4	35.7	59

Atomic structure:
```
data_Ba2CaAl2Fe8O14
_space_group_name_H-M_alt 'P 1'
_space_group_IT_number 1
_space_group_name_Hall 'P 1'
_cell_length_a 6.2714
_cell_length_b 6.4027
_cell_length_c 10.0628
_cell_angle_alpha 88.35
_cell_angle_beta 89.62
_cell_angle_gamma 61.41
loop_
_atom_site_label
_atom_site_fract_x
_atom_site_fract_y
_atom_site_fract_z
_atom_site_occupancy
Ba1 0.0000 0.0000 0.0000 1
Ba2 0.3842 0.2283 0.4102 1
Ca1 0.1933 0.5871 0.8128 1
Al1 0.0768 0.8604 0.5427 1
Al2 0.3849 0.2243 0.0642 1
Fe1 0.0999 0.2254 0.7206 1
Fe2 0.3814 0.7246 0.2393 1
Fe3 0.5881 0.8251 0.7521 1
Fe4 0.6539 0.2369 0.7431 1
Fe5 0.7188 0.5677 0.4998 1
Fe6 0.7205 0.5751 0.9874 1
Fe7 0.8895 0.2223 0.2793 1
Fe8 0.8996 0.7255 0.2445 1
O1 0.0861 0.3552 0.9431 1
O2 0.2357 0.0768 0.1892 1
O3 0.2395 0.5203 0.1690 1
O4 0.2611 0.8793 0.6950 1
O5 0.3329 0.3362 0.6563 1
O6 0.3707 0.7108 0.4447 1
O7 0.5295 0.9274 0.9531 1
O8 0.5468 0.3622 0.9403 1
O9 0.6868 0.0768 0.1907 1
O10 0.7342 0.5386 0.1900 1
O11 0.7643 0.4793 0.7018 1
O12 0.8548 0.8962 0.6977 1
O13 0.9281 0.7151 0.4477 1
O14 0.9362 0.1694 0.4746 1
```



2.
Li11Cr3Fe3O16: theoretical X-ray diffraction stick pattern (Cu Kα (weighted mean of Kα1 and Kα2)), based on a GGA+U-relaxed structure.
Lines closer than 0.1° are merged.

Main lines, in order of rising 2θ (10° ≤ 2θ ≤ 90°):
h k l	two_theta	intensity
0 0 2	17.8	100
1 -1 1	18.9	11
-1 1 1	20.0	11
2 0 -1	35.6	12
2 0 1	36.8	14
2 0 2	40.7	11
0 2 -3	41.4	11
2 -2 3	43.1	21
-2 2 3	46.2	19
2 2 0	62.5	12

Atomic structure:
```
data_Li11Cr3Fe3O16
_space_group_name_H-M_alt 'P 1'
_space_group_IT_number 1
_space_group_name_Hall 'P 1'
_cell_length_a 5.9066
_cell_length_b 5.9828
_cell_length_c 10.0471
_cell_angle_alpha 96.69
_cell_angle_beta 90.00
_cell_angle_gamma 119.58
loop_
_atom_site_label
_atom_site_fract_x
_atom_site_fract_y
_atom_site_fract_z
_atom_site_occupancy
Li1 0.0000 0.0000 0.0000 1
Li2 0.0044 0.5022 0.9797 1
Li3 0.0961 0.1922 0.5276 1
Li4 0.2890 0.5780 0.7407 1
Li5 0.3383 0.6765 0.4816 1
Li6 0.4154 0.8308 0.9809 1
Li7 0.4977 0.5022 0.9797 1
Li8 0.5951 0.1903 0.5337 1
Li9 0.6122 0.2243 0.0493 1
Li10 0.8398 0.6796 0.4669 1
Li11 0.9679 0.9358 0.2480 1
Cr1 0.2893 0.0797 0.7565 1
Cr2 0.4704 0.9407 0.2534 1
Cr3 0.7904 0.0797 0.7565 1
Fe1 0.4678 0.4394 0.2506 1
Fe2 0.7918 0.5835 0.7487 1
Fe3 0.9716 0.4394 0.2506 1
O1 0.1292 0.7819 0.8654 1
O2 0.1365 0.2560 0.8646 1
O3 0.1520 0.7828 0.3576 1
O4 0.1637 0.3274 0.3554 1
O5 0.2987 0.5974 0.1275 1
O6 0.3084 0.0932 0.1412 1
O7 0.4432 0.3686 0.6445 1
O8 0.4564 0.9128 0.6518 1
O9 0.6308 0.7828 0.3576 1
O10 0.6381 0.2763 0.8684 1
O11 0.6521 0.3042 0.3622 1
O12 0.6527 0.7819 0.8654 1
O13 0.7791 0.5581 0.1388 1
O14 0.7848 0.0932 0.1412 1
O15 0.9254 0.3686 0.6445 1
O16 0.9485 0.8970 0.6440 1
```



3.
Sr2MgZnWO6: theoretical X-ray diffraction stick pattern (Cu Kα (weighted mean of Kα1 and Kα2)), based on a GGA+U-relaxed structure.
Lines closer than 0.1° are merged.

Main lines, in order of rising 2θ (10° ≤ 2θ ≤ 90°):
h k l	two_theta	intensity
1 0 0	17.4	28
1 1 1	20.7	17
1 1 2	30.7	100
1 -1 1	31.5	33
0 2 1	32.2	39
2 1 1	33.3	35
2 -1 0	39.2	33
2 0 2	40.0	17
1 2 0	40.6	32
-1 2 2	49.3	31

Atomic structure:
```
data_Sr2MgZnWO6
_space_group_name_H-M_alt 'P 1'
_space_group_IT_number 1
_space_group_name_Hall 'P 1'
_cell_length_a 5.6779
_cell_length_b 5.6877
_cell_length_c 5.8638
_cell_angle_alpha 62.02
_cell_angle_beta 63.62
_cell_angle_gamma 79.35
loop_
_atom_site_label
_atom_site_fract_x
_atom_site_fract_y
_atom_site_fract_z
_atom_site_occupancy
Sr1 0.0000 0.0000 0.0000 1
Sr2 0.3720 0.7239 0.4476 1
Mg1 0.7532 0.5782 0.7955 1
Zn1 0.6183 0.1687 0.6529 1
W1 0.1836 0.3608 0.2275 1
O1 0.0304 0.4714 0.9373 1
O2 0.3367 0.2473 0.5227 1
O3 0.4076 0.7110 0.9864 1
O4 0.5402 0.1888 0.0139 1
O5 0.8368 0.5462 0.4382 1
O6 0.9540 0.9991 0.4899 1
```



4.
CoSb2Br2O3: theoretical X-ray diffraction stick pattern (Cu Kα (weighted mean of Kα1 and Kα2)), based on a GGA+U-relaxed structure.
Lines closer than 0.1° are merged.

Main lines, in order of rising 2θ (10° ≤ 2θ ≤ 90°):
h k l	two_theta	intensity
0 0 1	10.4	100
0 0 2	20.9	32
0 2 -1	24.6	27
1 2 0	26.2	27
1 2 1	27.1	80
1 0 -2	28.8	60
1 -2 0	29.6	66
1 -2 1	30.9	40
2 0 1	34.7	40
0 2 -3	39.4	26

Atomic structure:
```
data_CoSb2Br2O3
_space_group_name_H-M_alt 'P -1'
_space_group_IT_number 2
_space_group_name_Hall '-P 1'
_cell_length_a 5.2968
_cell_length_b 8.1699
_cell_length_c 8.5627
_cell_angle_alpha 87.38
_cell_angle_beta 82.52
_cell_angle_gamma 82.65
loop_
_atom_site_label
_atom_site_fract_x
_atom_site_fract_y
_atom_site_fract_z
_atom_site_occupancy
Co1 0.0221 0.2878 0.4912 1
Sb1 0.4054 0.9647 0.6842 1
Sb2 0.4406 0.5229 0.6936 1
Br1 0.1427 0.7823 0.2261 1
Br2 0.2638 0.2998 0.1420 1
O1 0.2636 0.4683 0.4861 1
O2 0.2703 0.7531 0.6316 1
O3 0.2841 0.0864 0.4836 1
```



5.
V3Bi8O22: theoretical X-ray diffraction stick pattern (Cu Kα (weighted mean of Kα1 and Kα2)), based on a GGA+U-relaxed structure.
Lines closer than 0.1° are merged.

Main lines, in order of rising 2θ (10° ≤ 2θ ≤ 90°):
h k l	two_theta	intensity
0 1 0	11.3	94
1 1 2	22.9	50
1 1 -2	24.5	45
1 -1 2	27.7	84
-1 1 2	27.8	100
1 2 2	28.3	77
1 2 -2	30.1	67
0 0 4	32.7	45
0 3 0	34.4	38
2 3 0	41.0	33

Atomic structure:
```
data_V3Bi8O22
_space_group_name_H-M_alt 'P -1'
_space_group_IT_number 2
_space_group_name_Hall '-P 1'
_cell_length_a 5.6199
_cell_length_b 8.1484
_cell_length_c 10.9818
_cell_angle_alpha 86.81
_cell_angle_beta 87.12
_cell_angle_gamma 74.13
loop_
_atom_site_label
_atom_site_fract_x
_atom_site_fract_y
_atom_site_fract_z
_atom_site_occupancy
V1 0.0000 0.0000 0.0000 1
V2 0.3528 0.0304 0.7394 1
Bi1 0.1955 0.6376 0.7554 1
Bi2 0.2174 0.6864 0.2458 1
Bi3 0.2645 0.3212 0.4773 1
Bi4 0.3178 0.3163 0.0238 1
O1 0.0044 0.2180 0.3822 1
O2 0.0087 0.5486 0.3821 1
O3 0.0154 0.5133 0.1332 1
O4 0.0204 0.1683 0.1117 1
O5 0.1339 0.0905 0.6335 1
O6 0.1949 0.1150 0.8796 1
O7 0.2893 0.8575 0.0557 1
O8 0.4293 0.8720 0.3150 1
O9 0.4662 0.8016 0.7598 1
O10 0.4672 0.4937 0.8833 1
O11 0.4897 0.4962 0.6362 1
```



6.
Li5MnO4: theoretical X-ray diffraction stick pattern (Cu Kα (weighted mean of Kα1 and Kα2)), based on a GGA+U-relaxed structure.
Lines closer than 0.1° are merged.

Main lines, in order of rising 2θ (10° ≤ 2θ ≤ 90°):
h k l	two_theta	intensity
1 1 0	18.8	92
0 1 1	23.6	100
1 0 1	23.8	63
0 2 1	33.1	26
2 0 1	33.5	40
1 2 1	35.8	27
2 1 1	36.2	35
1 1 2	44.3	18
0 3 1	45.0	28
2 2 2	56.2	47

Atomic structure:
```
data_Li5MnO4
_space_group_name_H-M_alt 'P m m n'
_space_group_IT_number 59
_cell_length_a 6.6125
_cell_length_b 6.7513
_cell_length_c 4.5346
_cell_angle_alpha 90.00
_cell_angle_beta 90.00
_cell_angle_gamma 90.00
loop_
_space_group_symop_operation_xyz
'x,y,z'
'-x,-y,-z'
'-x+1/2,-y+1/2,z'
'x+1/2,y+1/2,-z'
'x+1/2,-y,-z'
'-x+1/2,y,z'
'-x,y+1/2,-z'
'x,-y+1/2,z'
loop_
_atom_site_label
_atom_site_fract_x
_atom_site_fract_y
_atom_site_fract_z
_atom_site_occupancy
Li1 0.0090 0.0519 0.2484 1
Li2 0.2500 0.7500 0.3043 1
Mn1 0.2500 0.2500 0.7329 1
O1 0.0040 0.7500 0.0746 1
O2 0.2500 0.0014 0.5298 1
```



7.
BaDyFe2O5: theoretical X-ray diffraction stick pattern (Cu Kα (weighted mean of Kα1 and Kα2)), based on a GGA+U-relaxed structure.
Lines closer than 0.1° are merged.

Main lines, in order of rising 2θ (10° ≤ 2θ ≤ 90°):
h k l	two_theta	intensity
1 0 0	22.7	20
1 1 0	32.2	46
1 0 2	33.1	100
1 1 2	40.5	23
2 0 0	46.3	30
0 0 4	48.7	9
2 1 2	58.0	39
1 1 4	59.6	19
2 2 0	67.5	9
2 0 4	69.5	12

Atomic structure:
```
data_BaDyFe2O5
_space_group_name_H-M_alt 'P 4/m m m'
_space_group_IT_number 123
_space_group_name_Hall '-P 4 2'
_cell_length_a 3.9256
_cell_length_b 3.9256
_cell_length_c 7.4741
_cell_angle_alpha 90.00
_cell_angle_beta 90.00
_cell_angle_gamma 90.00
loop_
_atom_site_label
_atom_site_fract_x
_atom_site_fract_y
_atom_site_fract_z
_atom_site_occupancy
Ba1 0.0000 0.0000 0.0000 1
Dy1 0.0000 0.0000 0.5000 1
Fe1 0.5000 0.5000 0.2756 1
O1 0.0000 0.5000 0.3090 1
O2 0.5000 0.5000 0.0000 1
```